[1]
Diffraction record for La3GeC. The X-ray powder pattern is calculated, not measured: it uses a cell relaxed with PBE and a wavelength of 1.5418 Å.
Intensities are scaled so that the largest is 1000.

Peak list (10 most intense, 2θ = 10–90°, in order of rising 2θ)
2θ = 23.7°, rel. 155
2θ = 29.8°, rel. 589
2θ = 30.0°, rel. 1000
2θ = 30.7°, rel. 417
2θ = 36.6°, rel. 217
2θ = 37.1°, rel. 325
2θ = 48.5°, rel. 180
2θ = 48.9°, rel. 160
2θ = 54.1°, rel. 199
2θ = 55.2°, rel. 137

Structural model:
```
10
Lattice="-3.468 3.468 5.830 3.468 -3.468 5.830 3.468 3.468 -5.830" Properties=species:S:1:pos:R:3 pbc="T T T"
La 2.324 1.288 0.000
La 0.000 0.000 2.833
La 2.180 -1.144 5.830
La 1.288 4.612 0.000
La 0.000 0.000 8.827
La 1.144 2.180 5.830
Ge 3.468 0.000 2.915
Ge 0.000 3.468 2.915
C 0.000 0.000 5.121
C 0.000 0.000 6.539
```

***

[2]
Diffraction record for AcTb2Pm5. The X-ray powder pattern is calculated, not measured: it uses a cell relaxed with PBE and a wavelength of 1.5418 Å.
Intensities are scaled so that the largest is 1000.

Peak list (10 most intense, 2θ = 10–90°, in order of rising 2θ)
2θ = 28.8°, rel. 145
2θ = 29.1°, rel. 195
2θ = 30.3°, rel. 1000
2θ = 30.7°, rel. 729
2θ = 30.8°, rel. 472
2θ = 31.2°, rel. 200
2θ = 31.5°, rel. 240
2θ = 32.2°, rel. 414
2θ = 44.2°, rel. 125
2θ = 54.9°, rel. 211

Structural model:
```
32
Lattice="11.868 -3.275 0.000 11.868 3.275 0.000 -10.230 0.000 14.562" Properties=species:S:1:pos:R:3 pbc="T T T"
Ac 0.021 2.280 12.873
Ac 8.370 2.280 8.969
Ac 5.136 -2.280 5.593
Ac 13.485 -2.280 1.688
Tb -0.441 0.651 8.194
Tb 4.674 -0.651 0.913
Tb 2.443 0.246 11.193
Tb 7.558 -0.246 3.913
Tb 5.948 0.246 10.649
Tb 11.063 -0.246 3.368
Tb 8.833 0.651 13.649
Tb 13.948 -0.651 6.368
Pm 9.989 2.916 2.047
Pm 8.632 2.916 5.234
Pm -4.711 0.125 12.212
Pm 4.186 0.952 4.084
Pm 0.404 -0.125 4.931
Pm 7.820 0.564 0.446
Pm 5.642 1.091 7.044
Pm 12.979 1.091 0.237
Pm 2.705 -0.564 7.727
Pm -0.929 -0.952 11.365
Pm 14.435 0.952 3.196
Pm 10.801 0.564 6.835
Pm 0.527 -1.091 14.325
Pm 7.864 -1.091 7.518
Pm 5.686 -0.564 14.116
Pm 13.102 0.125 9.631
Pm 9.320 -0.952 10.477
Pm 18.217 -0.125 2.350
Pm 4.874 -2.916 9.328
Pm 3.517 -2.916 12.515
```

***

[3]
Diffraction record for Ca2HgTe. The X-ray powder pattern is calculated, not measured: it uses a cell relaxed with PBE and a wavelength of 1.5418 Å.
Intensities are scaled so that the largest is 1000.

Peak list (10 most intense, 2θ = 10–90°, in order of rising 2θ)
2θ = 21.5°, rel. 590
2θ = 24.4°, rel. 552
2θ = 29.1°, rel. 1000
2θ = 29.4°, rel. 457
2θ = 36.0°, rel. 943
2θ = 39.4°, rel. 255
2θ = 41.1°, rel. 226
2θ = 42.5°, rel. 198
2θ = 51.4°, rel. 190
2θ = 60.9°, rel. 213

Structural model:
```
4
Lattice="6.070 -2.196 0.000 6.070 2.196 0.000 -0.011 0.000 4.576" Properties=species:S:1:pos:R:3 pbc="T T T"
Ca 0.000 0.000 0.000
Ca 8.887 0.000 2.281
Hg 5.822 0.000 2.287
Te 3.267 0.000 4.570
```